[1]
The following is a theoretical powder XRD pattern of Ca2AcAg6. It was derived from a GGA-PBE-relaxed structure, using a wavelength of 1.5418 Å.
Intensities are scaled so that the largest is 1000.

Peak list (10 most intense, 2θ = 10–80°, most intense first)
2theta  I/Imax
32.0  1000
37.3  766
62.7  317
12.2  310
49.9  279
63.9  258
26.7  128
67.2  127
44.6  127
23.7  122

Crystal structure
a b c (Å): 8.3554 8.3554 3.7601
angles (deg): 90.00 90.00 120.00
Space group P6/mmm (No. 191)
One atom of each set of equivalent atoms:
Ca (0.3333, 0.6667, 0.0000) [2 per cell]
Ac (0.0000, 0.0000, 0.0000) [1 per cell]
Ag (0.0000, 0.3362, 0.5000) [6 per cell]

***

[2]
The following is a theoretical powder XRD pattern of CaAcAg4. It was derived from a GGA-PBE-relaxed structure, using a wavelength of 1.5418 Å.
Intensities are scaled so that the largest is 1000.

Peak list (10 most intense, 2θ = 10–80°, most intense first)
2theta  I/Imax
31.9  1000
37.2  743
37.5  673
30.8  521
32.0  416
15.9  401
49.8  238
61.0  234
21.8  209
68.7  166

Crystal structure
a b c (Å): 8.986 8.276 4.844
angles (deg): 90.00 122.51 90.00
Space group C2 (No. 5)
One atom of each set of equivalent atoms:
Ca (0.000, 0.000, 0.000) [2 per cell]
Ac (0.000, 0.586, 0.500) [2 per cell]
Ag (0.198, 0.204, 0.698) [4 per cell]
Ag (0.200, 0.376, 0.200) [4 per cell]

***

[3]
The following is a theoretical powder XRD pattern of Ca2Ac3Ag2Hg4. It was derived from a GGA-PBE-relaxed structure, using a wavelength of 1.5418 Å.
Intensities are scaled so that the largest is 1000.

Peak list (10 most intense, 2θ = 10–80°, most intense first)
2theta  I/Imax
30.9  1000
35.3  800
23.3  315
47.6  307
60.6  300
60.3  223
63.4  148
35.6  145
40.7  105
42.7  104

Crystal structure
a b c (Å): 5.0829 5.0829 15.3889
angles (deg): 90.00 90.00 120.00
Space group P-3m1 (No. 164)
One atom of each set of equivalent atoms:
Ca (0.3333, 0.6667, 0.0722) [2 per cell]
Ac (0.0000, 0.0000, 0.2549) [2 per cell]
Ac (0.0000, 0.0000, 0.5000) [1 per cell]
Ag (0.3333, 0.6667, 0.6295) [2 per cell]
Hg (0.3333, 0.6667, 0.3758) [2 per cell]
Hg (0.3333, 0.6667, 0.8557) [2 per cell]

***

[4]
The following is a theoretical powder XRD pattern of CaAcMgAg. It was derived from a GGA-PBE-relaxed structure, using a wavelength of 1.5418 Å.
Intensities are scaled so that the largest is 1000.

Peak list (10 most intense, 2θ = 10–80°, most intense first)
2theta  I/Imax
32.2  1000
11.2  430
57.4  365
25.3  318
34.2  180
47.6  128
46.2  123
22.6  115
76.6  107
53.4  88

Crystal structure
a b c (Å): 3.931 3.931 7.884
angles (deg): 90.00 90.00 90.00
Space group P4mm (No. 99)
One atom of each set of equivalent atoms:
Ca (0.000, 0.000, 0.000) [1 per cell]
Ac (0.000, 0.000, 0.469) [1 per cell]
Mg (0.500, 0.500, 0.754) [1 per cell]
Ag (0.500, 0.500, 0.213) [1 per cell]